Starting from a crystal structure in Alexandria, relaxed with PBE, the X-ray diffraction stick pattern of Pr2Sm5Te4 was simulated for λ = 1.5418 Å (Cu Kα).
Kinematic intensities with the Lorentz-polarization factor, no thermal factor.

Structure:
```
data_Pr2Sm5Te4
_chemical_formula_sum 'Pr4 Sm10 Te8'
_cell_length_a 25.6445
_cell_length_b 4.0936
_cell_length_c 7.6369
_cell_angle_alpha 90.00
_cell_angle_beta 92.16
_cell_angle_gamma 90.00
_space_group_name_H-M_alt 'C 1 2/m 1'
_space_group_IT_number 12
loop_
_space_group_symop_operation_xyz
'x,y,z'
'-x,-y,-z'
'-x,y,-z'
'x,-y,z'
'x+1/2,y+1/2,z'
'-x+1/2,-y+1/2,-z'
'-x+1/2,y+1/2,-z'
'x+1/2,-y+1/2,z'
loop_
_atom_site_label
_atom_site_type_symbol
_atom_site_fract_x
_atom_site_fract_y
_atom_site_fract_z
_atom_site_occupancy
Pr1 Pr 0.2326 0.0000 0.3036 1
Sm1 Sm 0.0000 0.0000 0.5000 1
Sm2 Sm 0.1359 0.5000 0.5099 1
Sm3 Sm 0.1566 0.5000 0.9938 1
Te1 Te 0.0482 0.5000 0.7690 1
Te2 Te 0.0974 0.0000 0.2311 1
```

Principal peaks in the range 2θ from 15° to 90°, sorted by position:
| 2θ (°) | Rel. int. | index |
| --- | --- | --- |
| 24.11 | 23 | 3 1 0 |
| 24.99 | 58 | 1 1 1 |
| 29.84 | 56 | 8 0 -1 |
| 30.56 | 66 | 5 1 1 |
| 30.83 | 24 | 6 0 -2 |
| 32.04 | 54 | 6 0 2 |
| 33.50 | 100 | 3 1 -2 |
| 34.07 | 33 | 3 1 2 |
| 38.51 | 44 | 9 1 0 |
| 44.25 | 36 | 0 2 0 |


Starting from a crystal structure in Alexandria, relaxed with PBE, the X-ray diffraction stick pattern of CePaSe2 was simulated for λ = 1.5418 Å (Cu Kα).
Kinematic intensities with the Lorentz-polarization factor, no thermal factor.

Structure:
```
data_CePaSe2
_chemical_formula_sum 'Ce3 Pa3 Se6'
_cell_length_a 3.9469
_cell_length_b 3.9469
_cell_length_c 22.5865
_cell_angle_alpha 90.00
_cell_angle_beta 90.00
_cell_angle_gamma 120.00
_space_group_name_H-M_alt 'R 3 m'
_space_group_IT_number 160
_space_group_name_Hall 'R 3 -2"'
loop_
_atom_site_label
_atom_site_type_symbol
_atom_site_fract_x
_atom_site_fract_y
_atom_site_fract_z
_atom_site_occupancy
Ce1 Ce 0.0000 0.0000 0.0000 1
Pa1 Pa 0.0000 0.0000 0.8263 1
Se1 Se 0.0000 0.0000 0.4138 1
Se2 Se 0.0000 0.0000 0.5787 1
```

Principal peaks in the range 2θ from 15° to 90°, sorted by position:
| 2θ (°) | Rel. int. | index |
| --- | --- | --- |
| 26.37 | 42 | 1 0 1 |
| 27.26 | 35 | 0 1 2 |
| 30.57 | 28 | 1 0 4 |
| 32.86 | 100 | 0 1 5 |
| 38.36 | 53 | 1 0 7 |
| 45.99 | 53 | 1 1 0 |
| 48.33 | 28 | 0 0 12 |
| 57.67 | 20 | 2 0 5 |
| 68.94 | 35 | 1 1 12 |
| 76.73 | 18 | 1 2 5 |